No. 1
For Tl3H2Cl4, a cell relaxed with GGA-PBE gives the computed powder X-ray diffraction pattern in this record (copper Kα).
Neutral-atom scattering factors, no anomalous dispersion.

Crystal structure
Lattice parameters (Å, degrees): 7.9246 7.9246 8.9810 102.15 102.15 70.53
Element x y z (fractional)
1 Tl 0.1487 0.4325 0.3717
2 Tl 0.2125 0.7875 0.7500
3 Tl 0.4325 0.1487 0.8717
4 Tl 0.5675 0.8513 0.1283
5 Tl 0.7875 0.2125 0.2500
6 Tl 0.8513 0.5675 0.6283
7 H 0.0501 0.7076 0.0039
8 H 0.2924 0.9499 0.4961
9 H 0.7076 0.0501 0.5039
10 H 0.9499 0.2924 0.9961
11 Cl 0.1364 0.1553 0.5838
12 Cl 0.1553 0.1364 0.0838
13 Cl 0.2184 0.5887 0.0530
14 Cl 0.4113 0.7816 0.4470
15 Cl 0.5887 0.2184 0.5530
16 Cl 0.7816 0.4113 0.9470
17 Cl 0.8447 0.8636 0.9162
18 Cl 0.8636 0.8447 0.4162

Main lines, in order of rising 2θ (2θ = 15–90°):
21.96 deg, rel. 65.1; 22.13 deg, rel. 20.3; 27.81 deg, rel. 100.0; 30.64 deg, rel. 45.5; 31.45 deg, rel. 53.0; 34.07 deg, rel. 34.7; 35.63 deg, rel. 40.2; 36.51 deg, rel. 32.2; 50.41 deg, rel. 19.9; 57.12 deg, rel. 20.0



No. 2
For GdLuTh, a cell relaxed with GGA-PBE gives the computed powder X-ray diffraction pattern in this record (copper Kα).
Neutral-atom scattering factors, no anomalous dispersion.

Crystal structure
Lattice parameters (Å, degrees): 3.5552 3.5552 8.6041 90.00 90.00 120.00
Element x y z (fractional)
1 Gd 0.0000 0.0000 0.0000
2 Lu 0.6667 0.3333 0.3453
3 Th 0.3333 0.6667 0.6696

Main lines, in order of rising 2θ (2θ = 15–90°):
30.85 deg, rel. 100.0; 31.19 deg, rel. 31.9; 35.87 deg, rel. 68.1; 51.40 deg, rel. 24.3; 51.85 deg, rel. 23.4; 61.16 deg, rel. 14.6; 61.36 deg, rel. 28.5; 61.76 deg, rel. 14.4; 64.26 deg, rel. 12.8; 83.90 deg, rel. 12.3